For NaTa2Si2PO12, DFT lattice parameters and positions (GGA-PBE) gives the simulated powder diffractogram in this record (CuKα).
Neutral-atom scattering factors, no anomalous dispersion.

Atomic structure:
```
data_NaTa2Si2PO12
_chemical_formula_sum 'Na4 Ta8 Si8 P4 O48'
_symmetry_space_group_name_H-M 'C 1 c 1'
_symmetry_Int_Tables_number 9
_cell_length_a 15.2613
_cell_length_b 8.8362
_cell_length_c 9.2103
_cell_angle_alpha 90.00
_cell_angle_beta 123.84
_cell_angle_gamma 90.00
loop_
_symmetry_equiv_pos_as_xyz
'x,y,z'
'x,-y,z+1/2'
'x+1/2,y+1/2,z'
'x+1/2,-y+1/2,z+1/2'
loop_
_atom_site_label
_atom_site_type_symbol
_atom_site_fract_x
_atom_site_fract_y
_atom_site_fract_z
_atom_site_occupancy
Na1 Na 0.0000 0.2489 0.0000 1
Ta1 Ta 0.1482 0.2433 0.4359 1
Ta2 Ta 0.3572 0.2514 0.0641 1
Si1 Si 0.2528 0.0381 0.2516 1
Si2 Si 0.3951 0.3937 0.7502 1
P1 P 0.1083 0.3942 0.7491 1
O1 O 0.0092 0.3208 0.7283 1
O2 O 0.1047 0.4345 0.2746 1
O3 O 0.1100 0.3664 0.5860 1
O4 O 0.1730 0.1461 0.2722 1
O5 O 0.1781 0.0690 0.5797 1
O6 O 0.2051 0.3209 0.9143 1
O7 O 0.2907 0.3197 0.5788 1
O8 O 0.3231 0.0700 0.9221 1
O9 O 0.3294 0.1454 0.2252 1
O10 O 0.3910 0.3636 0.9216 1
O11 O 0.3982 0.4238 0.2265 1
O12 O 0.4985 0.3139 0.7739 1
```

Most intense lines, 2θ from 10° to 80°, in order of falling intensity:
d (Å), I/Imax, (hkl)
4.412, 100, 0 2 0
4.588, 78, 2 0 -2
2.894, 35, 3 1 -3
2.547, 29, 6 0 -2
3.186, 28, 2 2 -2
3.822, 22, 0 2 1
6.361, 20, 1 1 -1
2.582, 18, 1 3 1
2.882, 18, 3 1 1
3.169, 14, 4 0 0